For Th2Ag3Hg2, a structure optimized by DFT (GGA-PBE) gives the computed powder diffraction line list in this record (Cu Kα).
Neutral-atom scattering factors, no anomalous dispersion.

Principal peaks in the range 2θ from 10° to 90°, most intense first:
| 2θ (°) | intensity | h k l |
| --- | --- | --- |
| 33.7 | 100 | 1 5 1 |
| 31.9 | 82 | 1 1 2 |
| 35.3 | 60 | 0 4 3 |
| 34.1 | 37 | 1 3 2 |
| 61.6 | 29 | 2 4 3 |
| 48.8 | 25 | 2 0 0 |
| 62.8 | 24 | 1 5 5 |
| 50.5 | 23 | 1 9 2 |
| 34.0 | 20 | 0 8 0 |
| 41.4 | 15 | 0 0 4 |
| 27.3 | 14 | 0 6 1 |
| 32.0 | 13 | 1 5 0 |

Structural model:
Unit cell a=3.731 b=21.098 c=8.721 alpha=90.00 beta=90.00 gamma=90.00
Space group Cmcm (No. 63)
Unique sites:
Th: 0.000 0.064 0.250
Th: 0.000 0.151 0.750
Ag: 0.000 0.233 0.250
Ag: 0.000 0.448 0.087
Hg: 0.000 0.321 0.546

---

For Tl12AgHg6, a structure optimized by DFT (GGA-PBE) gives the computed powder diffraction line list in this record (Cu Kα).
Neutral-atom scattering factors, no anomalous dispersion.

Principal peaks in the range 2θ from 10° to 90°, most intense first:
| 2θ (°) | intensity | h k l |
| --- | --- | --- |
| 32.9 | 100 | 1 3 1 |
| 34.5 | 67 | 3 -1 4 |
| 34.7 | 55 | 4 -1 2 |
| 32.7 | 53 | 0 3 3 |
| 32.4 | 47 | 0 1 5 |
| 61.1 | 21 | 2 5 3 |
| 57.1 | 19 | 5 -4 6 |
| 36.0 | 16 | 2 0 5 |
| 57.6 | 15 | 7 -4 2 |
| 36.4 | 14 | 2 2 3 |
| 24.1 | 12 | 1 1 3 |
| 56.7 | 12 | 3 -2 8 |

Structural model:
Unit cell a=11.5360 b=11.5360 c=14.3756 alpha=90.00 beta=90.00 gamma=120.00
Space group R-3 (No. 148, hexagonal axes)
Unique sites:
Tl: 0.0386 0.1850 0.3125
Tl: 0.0657 0.8487 0.9123
Ag: 0.0000 0.0000 0.5000
Hg: 0.0377 0.4460 0.2058

---

For TlAgHg2, a structure optimized by DFT (GGA-PBE) gives the computed powder diffraction line list in this record (Cu Kα).
Neutral-atom scattering factors, no anomalous dispersion.

Principal peaks in the range 2θ from 10° to 90°, most intense first:
| 2θ (°) | intensity | h k l |
| --- | --- | --- |
| 33.1 | 100 | 1 0 4 |
| 39.0 | 61 | 0 1 8 |
| 35.3 | 25 | 0 0 12 |
| 54.8 | 24 | 1 1 0 |
| 66.9 | 24 | 1 1 12 |
| 57.9 | 17 | 1 0 16 |
| 65.5 | 14 | 0 2 4 |
| 69.3 | 11 | 2 0 8 |
| 69.7 | 8 | 0 1 20 |
| 26.3 | 6 | 0 0 9 |
| 83.9 | 6 | 0 2 16 |
| 50.0 | 5 | 1 0 13 |

Structural model:
Unit cell a=3.3487 b=3.3487 c=30.4737 alpha=90.00 beta=90.00 gamma=120.00
Space group R3m (No. 160, hexagonal axes)
Unique sites:
Tl: 0.0000 0.0000 0.0000
Ag: 0.0000 0.0000 0.7457
Hg: 0.0000 0.0000 0.2441
Hg: 0.0000 0.0000 0.4876

---

For Tl2AgHg, a structure optimized by DFT (GGA-PBE) gives the computed powder diffraction line list in this record (Cu Kα).
Neutral-atom scattering factors, no anomalous dispersion.

Principal peaks in the range 2θ from 10° to 90°, most intense first:
| 2θ (°) | intensity | h k l |
| --- | --- | --- |
| 34.9 | 100 | 1 1 2 |
| 32.5 | 32 | 0 2 0 |
| 32.0 | 26 | 0 0 4 |
| 59.6 | 22 | 1 3 2 |
| 46.2 | 19 | 0 2 4 |
| 28.9 | 14 | 0 1 3 |
| 58.9 | 12 | 1 1 6 |
| 64.4 | 11 | 2 2 0 |
| 73.7 | 9 | 2 2 4 |
| 53.9 | 8 | 2 0 0 |
| 59.8 | 7 | 1 2 5 |
| 64.1 | 7 | 2 0 4 |

Structural model:
Unit cell a=3.401 b=5.505 c=11.201 alpha=90.00 beta=90.00 gamma=90.00
Space group Imm2 (No. 44)
Unique sites:
Tl: 0.000 0.000 0.000
Tl: 0.000 0.500 0.217
Ag: 0.000 0.500 0.731
Hg: 0.000 0.000 0.446